Starting from the PBE geometry in the Materials Project, the X-ray powder pattern of Ce2Ga2Fe15 was simulated for copper Kα.
No peak broadening, texture or thermal motion is included.

Peak list (6 most intense, 10 to 90 degrees two-theta, by angle)
| d_spacing | I/Imax | h k l |
| --- | --- | --- |
| 2.444 | 24.3 | 3 0 0 |
| 2.399 | 17.8 | 0 2 4 |
| 2.116 | 100.0 | 0 0 6 |
| 2.087 | 18.3 | 2 1 4 |
| 1.893 | 17.7 | 2 2 3 |
| 1.222 | 19.8 | 6 0 0 |

Atomic structure:
Unit cell a=8.4654 b=8.4654 c=12.6927 alpha=90.00 beta=90.00 gamma=120.00
Space group R-3m (No. 166, hexagonal axes)
One atom of each set of equivalent atoms:
Ce1 0.0000 0.0000 0.1525 x6
Ga1 0.0000 0.0000 0.3972 x6
Fe1 0.0000 0.2984 0.5000 x18
Fe2 0.0000 0.5000 0.0000 x9
Fe3 0.9996 0.4998 0.3421 x18